Entry 1:
Diffraction record for La4Er. The X-ray diffraction stick pattern is calculated, not measured: it uses a cell relaxed with PBE and a wavelength of 1.5418 Å.

Structural model:
Unit cell a=3.7109 b=3.7109 c=25.7671 alpha=90.00 beta=90.00 gamma=90.00
Fractional coordinates of all 10 atoms:
1 La 0.0000 0.0000 0.0967
2 La 0.0000 0.0000 0.3019
3 La 0.0000 0.0000 0.6981
4 La 0.0000 0.0000 0.9033
5 La 0.5000 0.5000 0.1981
6 La 0.5000 0.5000 0.4033
7 La 0.5000 0.5000 0.5967
8 La 0.5000 0.5000 0.8019
9 Er 0.0000 0.0000 0.5000
10 Er 0.5000 0.5000 0.0000

Peak list (12 most intense, 15° ≤ 2θ ≤ 90°, sorted by position)
2θ = 29.7°, rel. 100
2θ = 34.2°, rel. 35
2θ = 34.8°, rel. 16
2θ = 49.1°, rel. 12
2θ = 49.6°, rel. 24
2θ = 58.4°, rel. 29
2θ = 59.3°, rel. 13
2θ = 61.6°, rel. 12
2θ = 79.7°, rel. 6
2θ = 80.5°, rel. 11
2θ = 82.1°, rel. 6
2θ = 82.5°, rel. 5



Entry 2:
Diffraction record for La2Er3. The X-ray diffraction stick pattern is calculated, not measured: it uses a cell relaxed with PBE and a wavelength of 1.5418 Å.

Structural model:
Unit cell a=9.2911 b=9.2911 c=9.2911 alpha=137.77 beta=59.11 gamma=140.63
Fractional coordinates of all 10 atoms:
1 La 0.1905 0.1446 0.3351
2 La 0.3095 0.6446 0.9541
3 La 0.6905 0.3554 0.0459
4 La 0.8095 0.8554 0.6649
5 Er 0.0897 0.6177 0.7074
6 Er 0.2500 0.2500 0.0000
7 Er 0.4103 0.1177 0.5280
8 Er 0.5897 0.8823 0.4720
9 Er 0.7500 0.7500 0.0000
10 Er 0.9103 0.3823 0.2926

Peak list (12 most intense, 15° ≤ 2θ ≤ 90°, sorted by position)
2θ = 28.5°, rel. 32
2θ = 29.5°, rel. 92
2θ = 30.7°, rel. 100
2θ = 30.8°, rel. 98
2θ = 32.0°, rel. 48
2θ = 35.8°, rel. 30
2θ = 36.3°, rel. 22
2θ = 51.1°, rel. 20
2θ = 51.9°, rel. 23
2θ = 58.2°, rel. 32
2θ = 60.3°, rel. 27
2θ = 63.0°, rel. 19



Entry 3:
Diffraction record for La5Er7. The X-ray diffraction stick pattern is calculated, not measured: it uses a cell relaxed with PBE and a wavelength of 1.5418 Å.

Structural model:
Unit cell a=9.5613 b=9.5613 c=13.2584 alpha=117.84 beta=117.84 gamma=21.90
Fractional coordinates of all 12 atoms:
1 La 0.0000 0.0000 0.0000
2 La 0.1646 0.1646 0.4969
3 La 0.3060 0.3060 0.2501
4 La 0.6940 0.6940 0.7499
5 La 0.8354 0.8354 0.5031
6 Er 0.0268 0.0268 0.7512
7 Er 0.3342 0.3342 0.0046
8 Er 0.3632 0.3632 0.7525
9 Er 0.5000 0.5000 0.5000
10 Er 0.6368 0.6368 0.2475
11 Er 0.6658 0.6658 0.9954
12 Er 0.9732 0.9732 0.2488

Peak list (12 most intense, 15° ≤ 2θ ≤ 90°, sorted by position)
2θ = 29.5°, rel. 45
2θ = 30.7°, rel. 41
2θ = 32.4°, rel. 100
2θ = 32.5°, rel. 19
2θ = 36.8°, rel. 24
2θ = 50.2°, rel. 10
2θ = 50.5°, rel. 21
2θ = 55.5°, rel. 13
2θ = 55.7°, rel. 9
2θ = 60.1°, rel. 24
2θ = 60.3°, rel. 12
2θ = 61.1°, rel. 13